Computed powder diffractogram
Compound: Li2CaAg2
Radiation: a wavelength of 1.5418 Å
Structure: a crystal structure in Alexandria, relaxed with PBE
Neutral-atom scattering factors, no anomalous dispersion.

a = 4.188 Å, b = 4.188 Å, c = 6.196 Å
α = 90.00°, β = 90.00°, γ = 90.00°
Space group P4/mmm (No. 123)
Asymmetric unit:
Li 0.000 0.500 0.000 [2 per cell]
Ca 0.000 0.000 0.500 [1 per cell]
Ag 0.500 0.500 0.274 [2 per cell]

The 10 most intense peaks (15° ≤ 2θ ≤ 90°), in order of falling intensity:
- 2θ = 36.1°, I = 100, hkl 1 0 2
- 2θ = 21.2°, I = 98, hkl 1 0 0
- 2θ = 30.2°, I = 82, hkl 1 1 0
- 2θ = 57.5°, I = 48, hkl 2 1 2
- 2θ = 43.2°, I = 34, hkl 2 0 0
- 2θ = 42.2°, I = 32, hkl 1 1 2
- 2θ = 48.6°, I = 21, hkl 2 1 0
- 2θ = 28.8°, I = 18, hkl 0 0 2
- 2θ = 33.5°, I = 14, hkl 1 1 1
- 2θ = 52.8°, I = 13, hkl 2 0 2